# TbCe4Ga5
Simulated powder diffractogram, Cu Kα. Input: a GGA-PBE-relaxed structure.
Peak positions follow from Bragg's law for the DFT cell and can differ from measured ones.

The 10 most intense peaks (2θ from 10° to 90°), in order of rising 2θ:
| 2θ (°) | Rel. int. | (hkl) |
| --- | --- | --- |
| 21.27 | 9 | 0 0 5 |
| 26.89 | 10 | 1 0 0 |
| 34.53 | 100 | 1 0 5 |
| 38.39 | 38 | 1 1 0 |
| 43.31 | 13 | 0 0 10 |
| 55.41 | 13 | 2 0 0 |
| 59.24 | 20 | 1 1 10 |
| 66.95 | 29 | 2 1 5 |
| 72.82 | 11 | 2 0 10 |
| 73.79 | 10 | 1 0 15 |

Crystal structure
a = 3.3162 Å, b = 3.3162 Å, c = 20.8904 Å
α = 90.00°, β = 90.00°, γ = 90.00°
Space group P4/mmm (No. 123)
One atom of each set of equivalent atoms:
Tb: 0.0000 0.0000 0.0000 (multiplicity 1)
Ce: 0.0000 0.0000 0.1966 (multiplicity 2)
Ce: 0.0000 0.0000 0.3990 (multiplicity 2)
Ga: 0.5000 0.5000 0.0967 (multiplicity 2)
Ga: 0.5000 0.5000 0.2980 (multiplicity 2)
Ga: 0.5000 0.5000 0.5000 (multiplicity 1)


# Te8Ir2Os
Simulated powder diffractogram, Cu Kα. Input: a GGA-PBE-relaxed structure.
Peak positions follow from Bragg's law for the DFT cell and can differ from measured ones.

The 10 most intense peaks (2θ from 10° to 90°), in order of rising 2θ:
| 2θ (°) | Rel. int. | (hkl) |
| --- | --- | --- |
| 20.56 | 37 | 0 1 1 |
| 23.04 | 65 | 1 1 0 |
| 26.66 | 26 | 2 0 0 |
| 27.97 | 100 | 2 -1 1 |
| 31.61 | 47 | 0 0 2 |
| 39.03 | 48 | 3 -2 1 |
| 40.47 | 69 | 3 0 0 |
| 41.81 | 58 | 2 0 2 |
| 48.27 | 57 | 2 1 2 |
| 52.23 | 26 | 0 3 2 |

Crystal structure
a = 7.7218 Å, b = 7.7218 Å, c = 5.6614 Å
α = 90.00°, β = 90.00°, γ = 120.00°
Space group P-3 (No. 147)
One atom of each set of equivalent atoms:
Te: 0.0560 0.2987 0.2793 (multiplicity 6)
Te: 0.3333 0.6667 0.7710 (multiplicity 2)
Ir: 0.3333 0.6667 0.2360 (multiplicity 2)
Os: 0.0000 0.0000 0.0000 (multiplicity 1)


# Ta6Ga3Ge
Simulated powder diffractogram, Cu Kα. Input: a GGA-PBE-relaxed structure.
Peak positions follow from Bragg's law for the DFT cell and can differ from measured ones.

The 10 most intense peaks (2θ from 10° to 90°), in order of rising 2θ:
| 2θ (°) | Rel. int. | (hkl) |
| --- | --- | --- |
| 18.40 | 38 | 1 1 -1 |
| 29.58 | 63 | 0 2 1 |
| 36.95 | 46 | 2 1 0 |
| 37.16 | 100 | 1 0 2 |
| 37.31 | 39 | 1 0 -4 |
| 38.13 | 72 | 1 2 1 |
| 38.24 | 83 | 1 2 -3 |
| 40.51 | 60 | 3 1 -3 |
| 43.26 | 41 | 1 3 -1 |
| 47.21 | 26 | 0 0 4 |

Crystal structure
a = 7.1017 Å, b = 6.5659 Å, c = 10.4437 Å
α = 90.00°, β = 132.47°, γ = 90.00°
Space group P2_1/c (No. 14)
One atom of each set of equivalent atoms:
Ta: 0.0526 0.1196 0.2528 (multiplicity 4)
Ta: 0.2171 0.1409 0.0558 (multiplicity 4)
Ta: 0.4106 0.6433 0.0566 (multiplicity 4)
Ga: 0.0000 0.0000 0.5000 (multiplicity 2)
Ga: 0.2996 0.6983 0.7432 (multiplicity 4)
Ge: 0.5000 0.0000 0.0000 (multiplicity 2)


# Sm3DyTl4
Simulated powder diffractogram, Cu Kα. Input: a GGA-PBE-relaxed structure.
Peak positions follow from Bragg's law for the DFT cell and can differ from measured ones.

The 10 most intense peaks (2θ from 10° to 90°), in order of rising 2θ:
| 2θ (°) | Rel. int. | (hkl) |
| --- | --- | --- |
| 32.94 | 100 | 1 1 0 |
| 47.12 | 6 | 0 0 8 |
| 47.36 | 12 | 2 0 0 |
| 58.73 | 13 | 1 1 8 |
| 58.88 | 26 | 2 1 4 |
| 69.03 | 8 | 2 0 8 |
| 69.22 | 4 | 2 2 0 |
| 78.45 | 5 | 1 0 12 |
| 78.82 | 11 | 3 1 0 |
| 87.98 | 4 | 2 2 8 |

Crystal structure
a = 3.8390 Å, b = 3.8390 Å, c = 15.4282 Å
α = 90.00°, β = 90.00°, γ = 90.00°
Space group P4/mmm (No. 123)
One atom of each set of equivalent atoms:
Sm: 0.0000 0.0000 0.0000 (multiplicity 1)
Sm: 0.0000 0.0000 0.2535 (multiplicity 2)
Dy: 0.0000 0.0000 0.5000 (multiplicity 1)
Tl: 0.5000 0.5000 0.1270 (multiplicity 2)
Tl: 0.5000 0.5000 0.3805 (multiplicity 2)


# PmY2Pb9
Simulated powder diffractogram, Cu Kα. Input: a GGA-PBE-relaxed structure.
Peak positions follow from Bragg's law for the DFT cell and can differ from measured ones.

The 10 most intense peaks (2θ from 10° to 90°), in order of rising 2θ:
| 2θ (°) | Rel. int. | (hkl) |
| --- | --- | --- |
| 18.11 | 5 | 1 0 0 |
| 25.72 | 4 | 1 1 0 |
| 31.64 | 100 | 1 1 3 |
| 36.69 | 51 | 2 0 0 |
| 52.87 | 36 | 2 2 0 |
| 62.93 | 43 | 3 1 3 |
| 66.08 | 12 | 2 2 6 |
| 86.64 | 19 | 3 3 3 |
| 89.44 | 12 | 4 2 0 |
| 89.55 | 6 | 2 0 12 |

Crystal structure
a = 4.9004 Å, b = 4.9004 Å, c = 14.6811 Å
α = 90.00°, β = 90.00°, γ = 90.00°
Space group P4/mmm (No. 123)
One atom of each set of equivalent atoms:
Pm: 0.0000 0.0000 0.0000 (multiplicity 1)
Y: 0.0000 0.0000 0.3333 (multiplicity 2)
Pb: 0.0000 0.5000 0.1688 (multiplicity 4)
Pb: 0.0000 0.5000 0.5000 (multiplicity 2)
Pb: 0.5000 0.5000 0.0000 (multiplicity 1)
Pb: 0.5000 0.5000 0.3344 (multiplicity 2)


# Li2Zn7Ga2
Simulated powder diffractogram, Cu Kα. Input: a GGA-PBE-relaxed structure.
Peak positions follow from Bragg's law for the DFT cell and can differ from measured ones.

The 10 most intense peaks (2θ from 10° to 90°), in order of rising 2θ:
| 2θ (°) | Rel. int. | (hkl) |
| --- | --- | --- |
| 20.39 | 30 | 0 0 1 |
| 21.12 | 37 | 2 0 -1 |
| 21.80 | 24 | 2 0 0 |
| 30.56 | 21 | 3 1 -1 |
| 38.27 | 35 | 4 0 -1 |
| 38.46 | 23 | 1 1 -2 |
| 41.50 | 61 | 2 2 -2 |
| 41.61 | 50 | 0 4 0 |
| 42.62 | 100 | 2 2 1 |
| 48.08 | 23 | 4 2 -2 |

Crystal structure
a = 9.4139 Å, b = 8.6809 Å, c = 5.0339 Å
α = 90.00°, β = 119.98°, γ = 90.00°
Space group C2/m (No. 12)
One atom of each set of equivalent atoms:
Li: 0.0000 0.1995 0.0000 (multiplicity 4)
Zn: 0.0000 0.0000 0.5000 (multiplicity 2)
Zn: 0.1705 0.2417 0.6680 (multiplicity 8)
Zn: 0.2301 0.5000 0.9560 (multiplicity 4)
Ga: 0.1126 0.5000 0.3416 (multiplicity 4)


# AgAs2Pd8
Simulated powder diffractogram, Cu Kα. Input: a GGA-PBE-relaxed structure.
Peak positions follow from Bragg's law for the DFT cell and can differ from measured ones.

The 10 most intense peaks (2θ from 10° to 90°), in order of rising 2θ:
| 2θ (°) | Rel. int. | (hkl) |
| --- | --- | --- |
| 34.73 | 27 | 0 2 -2 |
| 34.84 | 16 | 0 2 0 |
| 37.51 | 59 | 2 0 -1 |
| 38.68 | 26 | 1 1 -3 |
| 39.32 | 37 | 1 0 2 |
| 39.80 | 100 | 1 -2 2 |
| 40.23 | 96 | -1 2 1 |
| 40.60 | 36 | 1 2 -1 |
| 41.84 | 37 | 0 0 3 |
| 45.36 | 48 | 1 2 0 |

Crystal structure
a = 4.8754 Å, b = 5.7157 Å, c = 7.3075 Å
α = 109.71°, β = 104.57°, γ = 100.33°
Space group P1 (No. 1)
One atom of each set of equivalent atoms:
Ag: 0.0000 0.0000 0.0000 (multiplicity 1)
As: 0.3221 0.3581 0.6879 (multiplicity 1)
As: 0.6098 0.6874 0.3186 (multiplicity 1)
Pd: 0.1453 0.9252 0.3909 (multiplicity 1)
Pd: 0.1657 0.4301 0.3603 (multiplicity 1)
Pd: 0.1730 0.5628 0.9985 (multiplicity 1)
Pd: 0.3752 0.8340 0.7687 (multiplicity 1)
Pd: 0.6005 0.0748 0.2397 (multiplicity 1)
Pd: 0.6475 0.3574 0.0097 (multiplicity 1)
Pd: 0.7704 0.5555 0.6096 (multiplicity 1)
Pd: 0.8031 0.0941 0.6482 (multiplicity 1)


# NdDy5Er2
Simulated powder diffractogram, Cu Kα. Input: a GGA-PBE-relaxed structure.
Peak positions follow from Bragg's law for the DFT cell and can differ from measured ones.

The 10 most intense peaks (2θ from 10° to 90°), in order of rising 2θ:
| 2θ (°) | Rel. int. | (hkl) |
| --- | --- | --- |
| 30.86 | 100 | 2 0 1 |
| 35.74 | 34 | 2 4 0 |
| 35.86 | 17 | 0 0 2 |
| 51.50 | 36 | 4 0 0 |
| 61.20 | 29 | 4 4 1 |
| 61.35 | 14 | 2 0 3 |
| 64.29 | 12 | 4 0 2 |
| 83.97 | 6 | 6 0 1 |
| 84.10 | 12 | 4 4 3 |
| 86.69 | 11 | 6 4 0 |

Crystal structure
a = 7.1050 Å, b = 14.2123 Å, c = 5.0087 Å
α = 90.00°, β = 90.00°, γ = 90.00°
Space group Pbam (No. 55)
One atom of each set of equivalent atoms:
Nd: 0.0000 0.0000 0.0000 (multiplicity 2)
Dy: 0.9996 0.2510 0.0000 (multiplicity 4)
Dy: 0.0000 0.5000 0.0000 (multiplicity 2)
Dy: 0.2489 0.3742 0.5000 (multiplicity 4)
Er: 0.2503 0.1258 0.5000 (multiplicity 4)